The following is a theoretical powder XRD pattern of V3OsW. It was derived from DFT lattice parameters and positions (PBE), using CuKα.
Neutral-atom scattering factors, no anomalous dispersion.

Principal peaks in the range 10 to 90 degrees two-theta, in order of falling intensity:
2θ (°)  I (rel.)
42.18  100
18.49  26
34.22  25
28.46  21
39.76  20
59.35  15
73.82  14
44.18  14
77.05  11
36.97  8

Structure:
a b c (Å): 4.9252 4.5347 6.5914
angles (deg): 90.00 103.00 90.00
Fractional coordinates of all 10 atoms:
V 0.0000 0.0000 0.0000
V 0.0000 0.5000 0.0000
V 0.0508 0.2500 0.3626
V 0.2668 0.2500 0.7402
V 0.7332 0.7500 0.2598
V 0.9492 0.7500 0.6374
Os 0.4953 0.2500 0.1459
Os 0.5047 0.7500 0.8541
W 0.3365 0.7500 0.4323
W 0.6635 0.2500 0.5677

The following is a theoretical powder XRD pattern of Pm7SI12. It was derived from DFT lattice parameters and positions (PBE), using CuKα.
Neutral-atom scattering factors, no anomalous dispersion.

Principal peaks in the range 10 to 90 degrees two-theta, in order of falling intensity:
2θ (°)  I (rel.)
28.85  100
40.89  35
41.61  35
11.12  18
50.81  17
24.77  14
68.20  13
67.18  13
27.74  12
59.76  11

Structure:
a b c (Å): 9.8383 9.8383 9.8383
angles (deg): 107.97 107.97 107.97
Fractional coordinates of all 20 atoms:
Pm 0.0000 0.0000 0.0000
Pm 0.1959 0.4645 0.3953
Pm 0.3953 0.1959 0.4645
Pm 0.4645 0.3953 0.1959
Pm 0.5355 0.6047 0.8041
Pm 0.6047 0.8041 0.5355
Pm 0.8041 0.5355 0.6047
S 0.5000 0.5000 0.5000
I 0.0281 0.1105 0.3487
I 0.1105 0.3487 0.0281
I 0.1873 0.5780 0.7270
I 0.2730 0.8127 0.4220
I 0.3487 0.0281 0.1105
I 0.4220 0.2730 0.8127
I 0.5780 0.7270 0.1873
I 0.6513 0.9719 0.8895
I 0.7270 0.1873 0.5780
I 0.8127 0.4220 0.2730
I 0.8895 0.6513 0.9719
I 0.9719 0.8895 0.6513

The following is a theoretical powder XRD pattern of Na5In2Pb12. It was derived from DFT lattice parameters and positions (PBE), using CuKα.
Neutral-atom scattering factors, no anomalous dispersion.

Principal peaks in the range 10 to 90 degrees two-theta, in order of falling intensity:
2θ (°)  I (rel.)
31.80  100
31.93  98
36.44  36
36.86  36
37.58  30
63.28  28
52.80  25
14.80  24
25.91  22
53.65  21

Structure:
a b c (Å): 13.1442 13.1442 4.9312
angles (deg): 100.50 100.50 43.56
Fractional coordinates of all 19 atoms:
Na 0.0000 0.0000 0.0000
Na 0.1974 0.1974 0.1989
Na 0.3018 0.3018 0.7994
Na 0.6982 0.6982 0.2006
Na 0.8026 0.8026 0.8011
In 0.2544 0.7456 0.5000
In 0.7456 0.2544 0.5000
Pb 0.0586 0.5538 0.3031
Pb 0.0994 0.0994 0.6021
Pb 0.1621 0.6472 0.9036
Pb 0.3528 0.8379 0.0964
Pb 0.4064 0.4064 0.4020
Pb 0.4462 0.9414 0.6969
Pb 0.5538 0.0586 0.3031
Pb 0.5936 0.5936 0.5980
Pb 0.6472 0.1621 0.9036
Pb 0.8379 0.3528 0.0964
Pb 0.9006 0.9006 0.3979
Pb 0.9414 0.4462 0.6969

The following is a theoretical powder XRD pattern of Ti12Zn3Co. It was derived from DFT lattice parameters and positions (PBE), using CuKα.
Neutral-atom scattering factors, no anomalous dispersion.

Principal peaks in the range 10 to 90 degrees two-theta, in order of falling intensity:
2θ (°)  I (rel.)
39.09  100
44.81  34
78.75  22
66.71  17
46.69  14
65.24  10
83.99  8
81.49  8
21.97  2
31.91  2

Structure:
a b c (Å): 4.0451 4.0451 15.5626
angles (deg): 90.00 90.00 90.00
Fractional coordinates of all 16 atoms:
Ti 0.0000 0.0000 0.0000
Ti 0.0000 0.0000 0.2430
Ti 0.0000 0.0000 0.5000
Ti 0.0000 0.0000 0.7570
Ti 0.0000 0.5000 0.1152
Ti 0.0000 0.5000 0.3724
Ti 0.0000 0.5000 0.6276
Ti 0.0000 0.5000 0.8848
Ti 0.5000 0.0000 0.1152
Ti 0.5000 0.0000 0.3724
Ti 0.5000 0.0000 0.6276
Ti 0.5000 0.0000 0.8848
Zn 0.5000 0.5000 0.2453
Zn 0.5000 0.5000 0.5000
Zn 0.5000 0.5000 0.7547
Co 0.5000 0.5000 0.0000

The following is a theoretical powder XRD pattern of HPdRh. It was derived from DFT lattice parameters and positions (PBE), using CuKα.
Neutral-atom scattering factors, no anomalous dispersion.

Principal peaks in the range 10 to 90 degrees two-theta, in order of falling intensity:
2θ (°)  I (rel.)
39.09  100
37.98  57
40.64  42
48.27  35
44.88  31
33.99  28
48.11  26
81.20  23
72.31  20
83.96  18

Structure:
a b c (Å): 4.6502 4.6502 5.3918
angles (deg): 90.00 90.00 145.45
Fractional coordinates of all 6 atoms:
H 0.0069 0.9931 0.7500
H 0.9931 0.0069 0.2500
Pd 0.2313 0.7687 0.2500
Pd 0.7687 0.2313 0.7500
Rh 0.5000 0.5000 0.0000
Rh 0.5000 0.5000 0.5000

The following is a theoretical powder XRD pattern of Na3LiTl6. It was derived from DFT lattice parameters and positions (PBE), using CuKα.
Neutral-atom scattering factors, no anomalous dispersion.

Principal peaks in the range 10 to 90 degrees two-theta, in order of falling intensity:
2θ (°)  I (rel.)
32.44  100
40.98  44
24.15  40
29.35  36
16.13  33
35.43  27
21.34  24
42.48  23
13.87  17
58.56  16

Structure:
a b c (Å): 7.6676 7.6676 7.6676
angles (deg): 112.73 112.73 112.73
Fractional coordinates of all 10 atoms:
Na 0.0003 0.4999 0.4999
Na 0.4999 0.0003 0.4999
Na 0.4999 0.4999 0.0003
Li 0.4967 0.4967 0.4967
Tl 0.0963 0.0963 0.3848
Tl 0.0963 0.3848 0.0963
Tl 0.3848 0.0963 0.0963
Tl 0.6158 0.9009 0.9009
Tl 0.9009 0.6158 0.9009
Tl 0.9009 0.9009 0.6158

The following is a theoretical powder XRD pattern of NaTiBr4. It was derived from DFT lattice parameters and positions (PBE), using CuKα.
Neutral-atom scattering factors, no anomalous dispersion.

Principal peaks in the range 10 to 90 degrees two-theta, in order of falling intensity:
2θ (°)  I (rel.)
12.89  100
31.94  94
26.43  51
35.66  37
29.15  36
23.44  29
30.44  24
48.19  19
38.99  18
52.03  18

Structure:
a b c (Å): 9.0364 9.0364 6.5380
angles (deg): 98.99 98.99 126.76
Fractional coordinates of all 12 atoms:
Na 0.2152 0.7848 0.7500
Na 0.7848 0.2152 0.2500
Ti 0.0550 0.9450 0.2500
Ti 0.9450 0.0550 0.7500
Br 0.0373 0.3711 0.6942
Br 0.1386 0.2552 0.1677
Br 0.2552 0.1386 0.6677
Br 0.3711 0.0373 0.1942
Br 0.6289 0.9627 0.8058
Br 0.7448 0.8614 0.3323
Br 0.8614 0.7448 0.8323
Br 0.9627 0.6289 0.3058